This entry pairs a crystal structure of Ca2AgWO6 with its calculated PXRD pattern. Radiation: a wavelength of 1.5418 Å. Structure: a DFT-relaxed cell (PBE+U, the Materials Project).

Main lines, by intensity (5 to 70 degrees two-theta):
2θ = 21.79°, rel. 100.0
2θ = 31.61°, rel. 88.6
2θ = 31.40°, rel. 88.0
2θ = 30.18°, rel. 44.5
2θ = 22.48°, rel. 42.3
2θ = 44.41°, rel. 41.0
2θ = 31.81°, rel. 40.1
2θ = 56.67°, rel. 27.8
2θ = 56.28°, rel. 22.3
2θ = 45.89°, rel. 22.3

Crystal structure
Lattice parameters (Å, degrees): 5.627 5.923 9.666 90.00 125.09 90.00
Fractional coordinates of all 20 atoms:
Ca 0.227 0.064 0.246
Ca 0.227 0.436 0.746
Ca 0.773 0.564 0.254
Ca 0.773 0.936 0.754
Ag 0.000 0.000 0.500
Ag 0.000 0.500 0.000
W 0.500 0.000 0.000
W 0.500 0.500 0.500
O 0.162 0.172 0.947
O 0.162 0.328 0.447
O 0.268 0.727 0.927
O 0.268 0.773 0.427
O 0.390 0.057 0.768
O 0.390 0.443 0.268
O 0.610 0.557 0.732
O 0.610 0.943 0.232
O 0.732 0.227 0.573
O 0.732 0.273 0.073
O 0.838 0.672 0.553
O 0.838 0.828 0.053

This entry pairs a crystal structure of VCdAgO4 with its calculated PXRD pattern. Radiation: a wavelength of 1.5418 Å. Structure: a DFT-relaxed cell (PBE+U, the Materials Project).

Main lines, by intensity (5 to 70 degrees two-theta):
2θ = 31.22°, rel. 100.0
2θ = 30.85°, rel. 27.6
2θ = 32.30°, rel. 23.6
2θ = 56.92°, rel. 20.5
2θ = 45.27°, rel. 17.4
2θ = 44.19°, rel. 13.6
2θ = 61.45°, rel. 13.2
2θ = 55.78°, rel. 13.2
2θ = 55.09°, rel. 8.7
2θ = 51.49°, rel. 8.5

Crystal structure
Lattice parameters (Å, degrees): 10.042 7.100 5.543 90.00 90.00 90.00
Fractional coordinates of all 28 atoms:
V 0.179 0.250 0.011
V 0.321 0.750 0.511
V 0.679 0.250 0.489
V 0.821 0.750 0.989
Cd 0.000 0.000 0.500
Cd 0.000 0.500 0.500
Cd 0.500 0.000 0.000
Cd 0.500 0.500 0.000
Ag 0.151 0.750 0.998
Ag 0.349 0.250 0.498
Ag 0.651 0.750 0.502
Ag 0.849 0.250 0.002
O 0.117 0.053 0.155
O 0.117 0.447 0.155
O 0.126 0.250 0.707
O 0.143 0.750 0.559
O 0.357 0.250 0.059
O 0.374 0.750 0.207
O 0.383 0.553 0.655
O 0.383 0.947 0.655
O 0.617 0.053 0.345
O 0.617 0.447 0.345
O 0.626 0.250 0.793
O 0.643 0.750 0.941
O 0.857 0.250 0.441
O 0.874 0.750 0.293
O 0.883 0.553 0.845
O 0.883 0.947 0.845

This entry pairs a crystal structure of CeAgW2O8 with its calculated PXRD pattern. Radiation: a wavelength of 1.5418 Å. Structure: a DFT-relaxed cell (PBE+U, the Materials Project).

Main lines, by intensity (5 to 70 degrees two-theta):
2θ = 27.07°, rel. 100.0
2θ = 29.11°, rel. 81.5
2θ = 30.51°, rel. 61.1
2θ = 26.96°, rel. 60.9
2θ = 27.46°, rel. 55.6
2θ = 52.05°, rel. 38.9
2θ = 33.85°, rel. 33.5
2θ = 40.71°, rel. 28.2
2θ = 54.03°, rel. 28.0
2θ = 45.19°, rel. 24.4

Crystal structure
Lattice parameters (Å, degrees): 7.596 7.596 7.423 114.77 114.77 93.92
Fractional coordinates of all 24 atoms:
Ce 0.202 0.798 0.000
Ce 0.798 0.202 0.000
Ag 0.190 0.190 0.520
Ag 0.810 0.810 0.480
W 0.285 0.285 0.028
W 0.340 0.660 0.500
W 0.660 0.340 0.500
W 0.715 0.715 0.972
O 0.057 0.057 0.857
O 0.153 0.399 0.240
O 0.189 0.710 0.641
O 0.198 0.450 0.907
O 0.290 0.811 0.359
O 0.399 0.153 0.240
O 0.450 0.198 0.907
O 0.481 0.481 0.660
O 0.519 0.519 0.340
O 0.550 0.802 0.093
O 0.601 0.847 0.760
O 0.710 0.189 0.641
O 0.802 0.550 0.093
O 0.811 0.290 0.359
O 0.847 0.601 0.760
O 0.943 0.943 0.143

This entry pairs a crystal structure of MgCr2Ag6Cl2O8 with its calculated PXRD pattern. Radiation: a wavelength of 1.5418 Å. Structure: a DFT-relaxed cell (PBE+U, the Materials Project).

Main lines, by intensity (5 to 70 degrees two-theta):
2θ = 29.70°, rel. 100.0
2θ = 27.68°, rel. 87.9
2θ = 33.72°, rel. 42.1
2θ = 33.93°, rel. 38.6
2θ = 48.58°, rel. 36.7
2θ = 47.26°, rel. 20.5
2θ = 32.12°, rel. 19.0
2θ = 38.81°, rel. 18.8
2θ = 59.26°, rel. 15.6
2θ = 35.18°, rel. 14.6

Crystal structure
Lattice parameters (Å, degrees): 7.517 7.517 5.604 94.25 94.25 90.03
Fractional coordinates of all 19 atoms:
Mg 0.000 0.000 0.000
Cr 0.258 0.742 0.000
Cr 0.742 0.258 0.000
Ag 0.000 0.000 0.500
Ag 0.000 0.500 0.500
Ag 0.274 0.274 0.882
Ag 0.500 0.000 0.500
Ag 0.500 0.500 0.500
Ag 0.726 0.726 0.118
Cl 0.231 0.231 0.344
Cl 0.769 0.769 0.656
O 0.059 0.768 0.153
O 0.232 0.941 0.847
O 0.250 0.570 0.779
O 0.430 0.750 0.221
O 0.570 0.250 0.779
O 0.750 0.430 0.221
O 0.768 0.059 0.153
O 0.941 0.232 0.847

This entry pairs a crystal structure of MgCr2Ag6Cl2O8 with its calculated PXRD pattern. Radiation: a wavelength of 1.5418 Å. Structure: a DFT-relaxed cell (PBE+U, the Materials Project).

Main lines, by intensity (5 to 70 degrees two-theta):
2θ = 28.72°, rel. 100.0
2θ = 33.48°, rel. 46.8
2θ = 47.65°, rel. 20.0
2θ = 48.07°, rel. 19.9
2θ = 56.97°, rel. 18.8
2θ = 35.03°, rel. 14.8
2θ = 42.62°, rel. 12.4
2θ = 20.09°, rel. 11.6
2θ = 39.35°, rel. 11.0
2θ = 16.28°, rel. 10.8

Crystal structure
Lattice parameters (Å, degrees): 7.571 7.571 5.444 90.00 90.00 90.00
Fractional coordinates of all 19 atoms:
Mg 0.000 0.000 0.000
Cr 0.000 0.000 0.500
Cr 0.500 0.500 0.500
Ag 0.000 0.500 0.376
Ag 0.275 0.275 0.000
Ag 0.275 0.725 0.000
Ag 0.500 0.000 0.624
Ag 0.725 0.275 0.000
Ag 0.725 0.725 0.000
Cl 0.000 0.500 0.852
Cl 0.500 0.000 0.148
O 0.000 0.178 0.273
O 0.000 0.822 0.273
O 0.178 0.000 0.727
O 0.320 0.500 0.317
O 0.500 0.320 0.683
O 0.500 0.680 0.683
O 0.680 0.500 0.317
O 0.822 0.000 0.727

This entry pairs a crystal structure of MgAg6Mo2ClO7F3 with its calculated PXRD pattern. Radiation: a wavelength of 1.5418 Å. Structure: a DFT-relaxed cell (PBE+U, the Materials Project).

Main lines, by intensity (5 to 70 degrees two-theta):
2θ = 29.49°, rel. 100.0
2θ = 24.61°, rel. 32.9
2θ = 41.05°, rel. 22.4
2θ = 46.69°, rel. 20.9
2θ = 40.81°, rel. 20.5
2θ = 36.65°, rel. 20.5
2θ = 43.32°, rel. 20.3
2θ = 20.19°, rel. 18.6
2θ = 12.23°, rel. 17.3
2θ = 32.34°, rel. 17.1

Crystal structure
Lattice parameters (Å, degrees): 8.354 8.354 5.537 90.00 90.00 120.00
Fractional coordinates of all 20 atoms:
Mg 0.000 0.000 0.000
Ag 0.007 0.503 0.607
Ag 0.445 0.223 0.982
Ag 0.497 0.503 0.607
Ag 0.497 0.993 0.607
Ag 0.777 0.223 0.982
Ag 0.777 0.555 0.982
Mo 0.000 0.000 0.526
Mo 0.333 0.667 0.127
Cl 0.667 0.333 0.409
O 0.101 0.551 0.012
O 0.216 0.108 0.710
O 0.333 0.667 0.461
O 0.449 0.551 0.012
O 0.449 0.899 0.012
O 0.892 0.108 0.710
O 0.892 0.784 0.710
F 0.104 0.207 0.244
F 0.104 0.896 0.244
F 0.793 0.896 0.244